[1]
Structure and simulated XRD peak list of In6Sn2Hg5 (a crystal structure in Alexandria, relaxed with PBE; a wavelength of 1.5418 Å).
Peak positions follow from Bragg's law for the DFT cell and can differ from measured ones.

Largest 12 diffraction maxima, by angle, 2θ from 10° to 90°:
Position (°2θ)  d_spacing  Rel. int.  h k l
18.49  4.798  23  1 0 0
29.12  3.066  100  1 1 3
29.34  3.044  43  0 4 0
30.56  2.925  25  0 3 3
34.75  2.582  40  1 1 -4
34.91  2.570  24  1 4 0
35.96  2.497  47  1 3 -3
37.10  2.423  31  1 2 4
37.49  2.399  57  2 0 0
37.78  2.381  29  1 4 -2
45.50  1.993  27  0 2 6
48.30  1.884  23  2 4 0

Structure:
```
data_In6Sn2Hg5
_chemical_formula_sum 'In12 Sn4 Hg10'
_cell_length_a 4.7981
_cell_length_b 12.1756
_cell_length_c 12.6577
_cell_angle_alpha 90.00
_cell_angle_beta 90.13
_cell_angle_gamma 90.00
_symmetry_space_group_name_H-M 'P 1 21/c 1'
_symmetry_Int_Tables_number 14
loop_
_symmetry_equiv_pos_as_xyz
'x,y,z'
'-x,-y,-z'
'-x,y+1/2,-z+1/2'
'x,-y+1/2,z+1/2'
loop_
_atom_site_label
_atom_site_type_symbol
_atom_site_fract_x
_atom_site_fract_y
_atom_site_fract_z
In1 In 0.0023 0.0123 0.3392
In2 In 0.0052 0.1229 0.9663
In3 In 0.4939 0.6992 0.1439
Sn1 Sn 0.0059 0.2322 0.7238
Hg1 Hg 0.4948 0.7353 0.4165
Hg2 Hg 0.4978 0.5155 0.6677
Hg3 Hg 0.5000 0.0000 0.5000
```

---

[2]
Structure and simulated XRD peak list of In12Sn2Hg5 (a crystal structure in Alexandria, relaxed with PBE; a wavelength of 1.5418 Å).
Peak positions follow from Bragg's law for the DFT cell and can differ from measured ones.

Largest 12 diffraction maxima, by angle, 2θ from 10° to 90°:
Position (°2θ)  d_spacing  Rel. int.  h k l
28.44  3.138  25  5 1 -1
31.32  2.856  100  2 2 -2
31.62  2.829  38  5 1 -2
34.38  2.608  34  4 2 -2
35.04  2.561  40  0 0 3
35.50  2.529  35  5 1 1
36.15  2.485  55  4 2 1
36.39  2.469  30  1 3 1
44.86  2.020  33  0 4 0
59.84  1.546  17  9 3 -1
61.90  1.499  19  2 2 -5
65.50  1.425  19  5 5 -2

Structure:
```
data_In12Sn2Hg5
_chemical_formula_sum 'In24 Sn4 Hg10'
_cell_length_a 17.0862
_cell_length_b 8.0821
_cell_length_c 8.1691
_cell_angle_alpha 90.00
_cell_angle_beta 109.80
_cell_angle_gamma 90.00
_symmetry_space_group_name_H-M 'C 1 2/m 1'
_symmetry_Int_Tables_number 12
loop_
_symmetry_equiv_pos_as_xyz
'x,y,z'
'-x,-y,-z'
'-x,y,-z'
'x,-y,z'
'x+1/2,y+1/2,z'
'-x+1/2,-y+1/2,-z'
'-x+1/2,y+1/2,-z'
'x+1/2,-y+1/2,z'
loop_
_atom_site_label
_atom_site_type_symbol
_atom_site_fract_x
_atom_site_fract_y
_atom_site_fract_z
In1 In 0.0097 0.0000 0.2818
In2 In 0.1123 0.2066 0.0258
In3 In 0.1282 0.5000 0.3628
In4 In 0.1888 0.2113 0.6885
Sn1 Sn 0.0000 0.3029 0.5000
Hg1 Hg 0.0000 0.5000 0.0000
Hg2 Hg 0.1954 0.0000 0.3733
Hg3 Hg 0.2145 0.5000 0.9636
```

---

[3]
Structure and simulated XRD peak list of In6Sn4Hg (a crystal structure in Alexandria, relaxed with PBE; a wavelength of 1.5418 Å).
Peak positions follow from Bragg's law for the DFT cell and can differ from measured ones.

Largest 12 diffraction maxima, by angle, 2θ from 10° to 90°:
Position (°2θ)  d_spacing  Rel. int.  h k l
14.48  6.117  47  0 0 2
27.23  3.276  100  0 2 2
28.56  3.126  59  2 1 1
29.04  3.075  44  2 0 2
33.94  2.642  32  1 1 4
34.22  2.620  76  2 2 0
35.47  2.531  49  0 3 1
37.33  2.409  40  2 2 2
37.46  2.401  66  0 2 4
38.85  2.318  69  2 0 4
39.95  2.257  37  1 3 2
57.25  1.609  32  2 2 6

Structure:
```
data_In6Sn4Hg
_chemical_formula_sum 'In12 Sn8 Hg2'
_cell_length_a 7.1151
_cell_length_b 7.7488
_cell_length_c 12.2344
_cell_angle_alpha 90.00
_cell_angle_beta 90.00
_cell_angle_gamma 90.00
_symmetry_space_group_name_H-M 'I 2 2 2'
_symmetry_Int_Tables_number 23
loop_
_symmetry_equiv_pos_as_xyz
'x,y,z'
'-x,-y,z'
'x,-y,-z'
'-x,y,-z'
'x+1/2,y+1/2,z+1/2'
'-x+1/2,-y+1/2,z+1/2'
'x+1/2,-y+1/2,-z+1/2'
'-x+1/2,y+1/2,-z+1/2'
loop_
_atom_site_label
_atom_site_type_symbol
_atom_site_fract_x
_atom_site_fract_y
_atom_site_fract_z
In1 In 0.0000 0.0000 0.0000
In2 In 0.0000 0.0000 0.5000
In3 In 0.2217 0.2640 0.1495
Sn1 Sn 0.1439 0.3510 0.3858
Hg1 Hg 0.0000 0.5000 0.0000
```

---

[4]
Structure and simulated XRD peak list of In3Sn2Hg5 (a crystal structure in Alexandria, relaxed with PBE; a wavelength of 1.5418 Å).
Peak positions follow from Bragg's law for the DFT cell and can differ from measured ones.

Largest 12 diffraction maxima, by angle, 2θ from 10° to 90°:
Position (°2θ)  d_spacing  Rel. int.  h k l
31.26  2.861  100  1 0 -5
32.32  2.770  93  1 -2 1
33.10  2.706  85  1 2 -1
34.66  2.588  71  2 0 0
35.46  2.531  69  1 0 5
36.26  2.478  67  0 2 4
43.69  2.072  39  0 2 -6
47.42  1.917  29  -2 2 4
54.46  1.685  17  2 2 4
54.65  1.679  18  2 2 -6
57.11  1.613  17  0 4 -2
65.21  1.431  19  2 0 -10

Structure:
```
data_In3Sn2Hg5
_chemical_formula_sum 'In6 Sn4 Hg10'
_cell_length_a 5.2333
_cell_length_b 6.5630
_cell_length_c 15.8256
_cell_angle_alpha 91.26
_cell_angle_beta 97.82
_cell_angle_gamma 92.96
_symmetry_space_group_name_H-M 'P -1'
_symmetry_Int_Tables_number 2
loop_
_symmetry_equiv_pos_as_xyz
'x,y,z'
'-x,-y,-z'
loop_
_atom_site_label
_atom_site_type_symbol
_atom_site_fract_x
_atom_site_fract_y
_atom_site_fract_z
In1 In 0.2088 0.2507 0.2503
In2 In 0.2773 0.4401 0.6585
In3 In 0.2810 0.0815 0.8589
Sn1 Sn 0.2317 0.8635 0.4603
Sn2 Sn 0.2438 0.3614 0.4555
Hg1 Hg 0.2143 0.7518 0.2557
Hg2 Hg 0.2264 0.6388 0.0558
Hg3 Hg 0.2303 0.1408 0.0556
Hg4 Hg 0.2812 0.9412 0.6619
Hg5 Hg 0.2824 0.5758 0.8574
```

---

[5]
Structure and simulated XRD peak list of In3SnHg6 (a crystal structure in Alexandria, relaxed with PBE; a wavelength of 1.5418 Å).
Peak positions follow from Bragg's law for the DFT cell and can differ from measured ones.

Largest 12 diffraction maxima, by angle, 2θ from 10° to 90°:
Position (°2θ)  d_spacing  Rel. int.  h k l
28.89  3.090  100  0 1 3
31.25  2.862  35  0 1 4
34.07  2.632  14  1 0 5
37.25  2.414  30  1 0 6
40.74  2.215  35  1 0 7
45.09  2.011  62  1 1 0
54.43  1.686  17  2 0 3
62.36  1.489  10  0 2 7
65.70  1.421  30  1 1 10
66.16  1.412  11  0 1 13
73.27  1.292  15  1 2 3
80.21  1.197  10  2 1 7

Structure:
```
data_In3SnHg6
_chemical_formula_sum 'In3 Sn1 Hg6'
_cell_length_a 4.0227
_cell_length_b 4.0227
_cell_length_c 20.0857
_cell_angle_alpha 90.00
_cell_angle_beta 90.00
_cell_angle_gamma 120.00
_symmetry_space_group_name_H-M 'P -3 m 1'
_symmetry_Int_Tables_number 164
_symmetry_space_group_name_Hall '-P 3 2"'
loop_
_atom_site_label
_atom_site_type_symbol
_atom_site_fract_x
_atom_site_fract_y
_atom_site_fract_z
In1 In 0.0000 0.0000 0.0000
In2 In 0.0000 0.0000 0.3024
Sn1 Sn 0.0000 0.0000 0.5000
Hg1 Hg 0.3333 0.6667 0.1004
Hg2 Hg 0.3333 0.6667 0.4028
Hg3 Hg 0.3333 0.6667 0.7980
```

---

[6]
Structure and simulated XRD peak list of In8SnHg3 (a crystal structure in Alexandria, relaxed with PBE; a wavelength of 1.5418 Å).
Peak positions follow from Bragg's law for the DFT cell and can differ from measured ones.

Largest 12 diffraction maxima, by angle, 2θ from 10° to 90°:
Position (°2θ)  d_spacing  Rel. int.  h k l
21.03  4.225  24  2 0 0
21.72  4.092  60  0 2 1
22.68  3.920  39  2 0 -2
34.81  2.577  100  2 2 1
35.96  2.498  46  0 4 0
36.33  2.473  43  4 0 -2
36.91  2.435  85  2 2 -3
41.81  2.161  20  4 2 -1
42.06  2.148  21  0 2 3
52.05  1.757  31  4 4 -2
63.90  1.457  17  2 6 1
67.10  1.395  20  4 0 -6

Structure:
```
data_In8SnHg3
_chemical_formula_sum 'In16 Sn2 Hg6'
_cell_length_a 9.9225
_cell_length_b 9.9901
_cell_length_c 8.3754
_cell_angle_alpha 90.00
_cell_angle_beta 121.61
_cell_angle_gamma 90.00
_symmetry_space_group_name_H-M 'C 1 m 1'
_symmetry_Int_Tables_number 8
loop_
_symmetry_equiv_pos_as_xyz
'x,y,z'
'x,-y,z'
'x+1/2,y+1/2,z'
'x+1/2,-y+1/2,z'
loop_
_atom_site_label
_atom_site_type_symbol
_atom_site_fract_x
_atom_site_fract_y
_atom_site_fract_z
In1 In 0.0000 0.0000 0.0000
In2 In 0.0031 0.2539 0.5097
In3 In 0.2301 0.2461 0.0043
In4 In 0.2318 0.5000 0.5144
In5 In 0.2371 0.0000 0.5124
In6 In 0.4947 0.0000 0.0019
Sn1 Sn 0.3657 0.5000 0.2572
Hg1 Hg 0.3656 0.0000 0.2571
Hg2 Hg 0.3669 0.2498 0.7571
```